For SmUB12, a structure optimized by DFT (GGA-PBE) gives the computed X-ray powder pattern in this record (Cu Ka).

Principal peaks in the range 15 to 90 degrees two-theta, most intense first:
d 2.896, 30.9 deg, rel. 100.0, hkl 1 1 0; d 4.096, 21.7 deg, rel. 75.4, hkl 1 0 0; d 1.832, 49.8 deg, rel. 51.4, hkl 2 1 0; d 2.365, 38.1 deg, rel. 41.8, hkl 1 1 2; d 1.672, 54.9 deg, rel. 30.8, hkl 2 1 2; d 1.365, 68.8 deg, rel. 26.2, hkl 2 2 2; d 2.048, 44.2 deg, rel. 21.2, hkl 2 0 0; d 1.095, 89.5 deg, rel. 20.3, hkl 3 2 2; d 1.235, 77.3 deg, rel. 14.1, hkl 3 1 2; d 1.296, 73.0 deg, rel. 13.5, hkl 3 0 2

Structural model:
Cell: 4.0940 4.0940 8.1997 Å, 90.00 90.00 90.00°
Element x y z (fractional)
Sm: 0.0000 0.0000 0.0000
U: 0.0000 0.0000 0.5000
B: 0.1981 0.5000 0.2513
B: 0.1981 0.5000 0.7487
B: 0.5000 0.1981 0.2513
B: 0.5000 0.1981 0.7487
B: 0.5000 0.5000 0.0997
B: 0.5000 0.5000 0.4015
B: 0.5000 0.5000 0.5985
B: 0.5000 0.5000 0.9003
B: 0.5000 0.8019 0.2513
B: 0.5000 0.8019 0.7487
B: 0.8019 0.5000 0.2513
B: 0.8019 0.5000 0.7487